Structure and calculated powder X-ray diffraction pattern of MnTlTe2 (a cell relaxed with GGA-PBE; Cu Kα, 1.54184 Å).
Intensities are scaled so that the largest is 100.

Principal peaks in the range 2θ from 15° to 90°, by angle:
2θ = 25.38°, I = 18, (0 3 1)
2θ = 28.64°, I = 20, (2 0 0)
2θ = 29.20°, I = 100, (1 3 1)
2θ = 31.31°, I = 21, (0 0 2)
2θ = 42.94°, I = 24, (2 0 2)
2θ = 54.43°, I = 23, (1 3 3)

Atomic structure:
```
data_MnTlTe2
_cell_length_a 6.234
_cell_length_b 13.344
_cell_length_c 5.714
_cell_angle_alpha 90.00
_cell_angle_beta 90.00
_cell_angle_gamma 90.00
_space_group_name_H-M_alt 'P 1'
_space_group_IT_number 1
_space_group_name_Hall 'P 1'
loop_
_atom_site_label
_atom_site_fract_x
_atom_site_fract_y
_atom_site_fract_z
_atom_site_occupancy
Mn1 0.000 0.000 0.246 1
Mn2 0.000 0.000 0.754 1
Mn3 0.500 0.500 0.254 1
Mn4 0.500 0.500 0.746 1
Tl1 0.213 0.276 0.000 1
Tl2 0.287 0.776 0.500 1
Tl3 0.713 0.224 0.500 1
Tl4 0.787 0.724 0.000 1
Te1 0.205 0.117 0.500 1
Te2 0.213 0.428 0.500 1
Te3 0.287 0.928 0.000 1
Te4 0.295 0.617 0.000 1
Te5 0.705 0.383 0.000 1
Te6 0.713 0.072 0.000 1
Te7 0.787 0.572 0.500 1
Te8 0.795 0.883 0.500 1
```